(1)
Calculated PXRD pattern
Compound: Dy5Te5Au
Radiation: a wavelength of 1.5418 Å
Structure: the PBE geometry in Alexandria

Crystal structure
Lattice parameters (Å, degrees): 13.7464 6.1535 8.6059 90.00 108.69 90.00
Space group C2/m (No. 12)
Symmetry-distinct sites (fractional):
Dy 0.0000 0.0000 0.0000
Dy 0.1584 0.5000 0.3235
Dy 0.1581 0.5000 0.8390
Te 0.0000 0.5000 0.5000
Te 0.1652 0.0000 0.8272
Te 0.1756 0.0000 0.3355
Au 0.0000 0.5000 0.0000

Most intense lines, 2θ from 10° to 90°, by intensity:
(hkl)	two_theta	I/Imax
0 2 0	29.06	100
4 2 -2	41.58	56
2 0 2	29.34	49
2 2 2	41.74	38
2 2 -4	51.86	20
6 2 0	51.53	19
2 0 -4	42.00	18
2 4 2	68.32	17
4 4 -2	68.20	12
4 2 4	68.81	12
6 4 0	75.80	12
1 1 0	15.93	12

***

(2)
Calculated PXRD pattern
Compound: AgBiO2
Radiation: a wavelength of 1.5418 Å
Structure: the PBE geometry in Alexandria

Crystal structure
Lattice parameters (Å, degrees): 12.7843 3.6043 6.7007 90.00 98.22 90.00
Space group C2/m (No. 12)
Symmetry-distinct sites (fractional):
Ag 0.0000 0.0000 0.0000
Ag 0.0000 0.5000 0.5000
Bi 0.2462 0.0000 0.7390
O 0.1607 0.0000 0.1165
O 0.1639 0.5000 0.5170

Most intense lines, 2θ from 10° to 90°, by intensity:
(hkl)	two_theta	I/Imax
1 1 1	29.54	100
2 0 -2	28.55	61
3 1 -1	34.23	56
4 0 0	28.21	48
2 0 2	32.22	32
2 0 0	14.00	31
5 1 1	47.50	30
1 1 -3	47.93	28
2 2 -2	59.15	21
7 1 -1	56.91	18
0 2 0	50.64	15
3 1 3	55.81	15

***

(3)
Calculated PXRD pattern
Compound: SrAlSnHg
Radiation: a wavelength of 1.5418 Å
Structure: the PBE geometry in Alexandria

Crystal structure
Lattice parameters (Å, degrees): 7.5578 7.5578 7.5578 90.00 90.00 90.00
Space group F-43m (No. 216)
Symmetry-distinct sites (fractional):
Sr 0.0000 0.0000 0.0000
Al 0.0000 0.0000 0.5000
Sn 0.2500 0.2500 0.7500
Hg 0.2500 0.2500 0.2500

Most intense lines, 2θ from 10° to 90°, by intensity:
(hkl)	two_theta	I/Imax
2 2 0	33.54	100
4 2 2	59.96	38
2 0 0	23.54	26
4 0 0	48.16	18
6 2 0	80.35	17
4 2 0	54.28	12
4 4 0	70.48	12
1 1 1	20.35	12
2 2 2	41.38	9
3 1 1	39.55	7
6 0 0	75.47	6
4 4 4	89.93	5

***

(4)
Calculated PXRD pattern
Compound: Na4Sr3Tl4
Radiation: a wavelength of 1.5418 Å
Structure: the PBE geometry in Alexandria

Crystal structure
Lattice parameters (Å, degrees): 3.9213 5.3921 17.7663 81.30 84.01 89.98
Space group P-1 (No. 2)
Symmetry-distinct sites (fractional):
Na 0.0927 0.0918 0.3179
Na 0.2400 0.7391 0.0217
Sr 0.3595 0.3591 0.7814
Sr 0.5000 0.0000 0.5000
Tl 0.0412 0.5476 0.4071
Tl 0.1797 0.1811 0.1377

Most intense lines, 2θ from 10° to 90°, by intensity:
(hkl)	two_theta	I/Imax
0 1 6	32.73	100
-1 1 1	28.61	91
0 2 1	33.23	50
0 1 2	18.13	49
0 0 3	15.22	32
-1 1 2	29.93	32
0 1 -2	20.81	31
2 1 7	58.04	30
1 0 0	22.82	29
1 1 3	30.03	28
2 2 2	58.18	20
0 0 4	20.34	20

***

(5)
Calculated PXRD pattern
Compound: Ce8PuHg2
Radiation: a wavelength of 1.5418 Å
Structure: the PBE geometry in Alexandria

Crystal structure
Lattice parameters (Å, degrees): 5.1320 6.5990 9.1378 108.66 101.99 90.53
Space group P-1 (No. 2)
Symmetry-distinct sites (fractional):
Ce 0.0186 0.2725 0.4907
Ce 0.2477 0.7862 0.9164
Ce 0.3598 0.4833 0.2178
Ce 0.4050 0.0331 0.3525
Pu 0.5000 0.5000 0.5000
Hg 0.1647 0.2350 0.8429

Most intense lines, 2θ from 10° to 90°, by intensity:
(hkl)	two_theta	I/Imax
2 0 -1	35.09	100
1 2 -1	32.55	93
-1 2 1	36.04	32
0 1 -3	30.25	30
1 1 2	37.42	26
1 0 2	30.60	24
1 -1 3	38.27	23
0 0 3	31.81	21
1 0 -3	32.87	20
0 1 4	50.00	17
0 4 0	59.30	15
3 2 -2	61.29	15

***

(6)
Calculated PXRD pattern
Compound: PaVAs3
Radiation: a wavelength of 1.5418 Å
Structure: the PBE geometry in Alexandria

Crystal structure
Lattice parameters (Å, degrees): 11.8850 5.7814 5.6551 90.00 90.00 90.00
Space group Pbcm (No. 57)
Symmetry-distinct sites (fractional):
Pa 0.1888 0.0047 0.2500
V 0.4123 0.7500 0.0000
As 0.0016 0.7500 0.0000
As 0.2668 0.5110 0.2500
As 0.4270 0.1066 0.2500

Most intense lines, 2θ from 10° to 90°, by intensity:
(hkl)	two_theta	I/Imax
4 1 1	37.57	100
1 1 1	23.24	85
2 2 0	34.50	67
0 2 2	44.84	61
2 0 2	35.15	51
3 2 0	38.55	39
2 1 1	26.67	38
3 0 2	39.14	35
5 0 0	37.85	30
0 0 2	31.64	28
4 1 3	60.31	26
5 2 2	60.09	24